(1)
Computed X-ray diffraction stick pattern
Compound: Sm2NiRuO6
Radiation: CuKα
Structure: a DFT-relaxed cell (GGA+U, the Materials Project)
Neutral-atom scattering factors, no anomalous dispersion.

Crystal structure
a b c (Å): 5.3888 5.7864 9.4209
angles (deg): 90.00 124.54 90.00
Element x y z (fractional)
Sm  0.2289  0.0714  0.2508
Sm  0.2289  0.4286  0.7508
Sm  0.7711  0.5714  0.2492
Sm  0.7711  0.9286  0.7492
Ni  0.5000  0.0000  0.0000
Ni  0.5000  0.5000  0.5000
Ru  0.0000  0.0000  0.5000
Ru  0.0000  0.5000  0.0000
O  0.1310  0.2020  0.9423
O  0.1310  0.2980  0.4423
O  0.2524  0.6937  0.9482
O  0.2524  0.8063  0.4482
O  0.3554  0.0365  0.7462
O  0.3554  0.4635  0.2462
O  0.6446  0.5365  0.7538
O  0.6446  0.9635  0.2538
O  0.7476  0.1937  0.5518
O  0.7476  0.3063  0.0518
O  0.8690  0.7020  0.5577
O  0.8690  0.7980  0.0577

Main lines, by intensity (10° ≤ 2θ ≤ 90°):
| 2θ (°) | I (rel.) |
| --- | --- |
| 32.3 | 100 |
| 32.4 | 99 |
| 33.3 | 48 |
| 30.9 | 38 |
| 25.3 | 37 |
| 46.0 | 34 |
| 46.8 | 28 |
| 58.7 | 25 |
| 59.0 | 25 |
| 33.0 | 24 |

***

(2)
Computed X-ray diffraction stick pattern
Compound: Y2NiRuO6
Radiation: CuKα
Structure: a DFT-relaxed cell (GGA+U, the Materials Project)
Neutral-atom scattering factors, no anomalous dispersion.

Crystal structure
a b c (Å): 5.3188 5.7135 9.3022
angles (deg): 90.00 124.59 90.00
Element x y z (fractional)
Y  0.2239  0.0780  0.2481
Y  0.2239  0.4220  0.7481
Y  0.7761  0.5780  0.2519
Y  0.7761  0.9220  0.7519
Ni  0.0000  0.0000  0.5000
Ni  0.0000  0.5000  0.0000
Ru  0.5000  0.0000  0.0000
Ru  0.5000  0.5000  0.5000
O  0.1307  0.1900  0.9418
O  0.1307  0.3100  0.4418
O  0.2533  0.6994  0.9352
O  0.2533  0.8006  0.4352
O  0.3754  0.0432  0.7525
O  0.3754  0.4568  0.2525
O  0.6246  0.5432  0.7475
O  0.6246  0.9568  0.2475
O  0.7467  0.1994  0.5648
O  0.7467  0.3006  0.0648
O  0.8693  0.6900  0.5582
O  0.8693  0.8100  0.0582

Main lines, by intensity (10° ≤ 2θ ≤ 90°):
| 2θ (°) | I (rel.) |
| --- | --- |
| 32.7 | 100 |
| 32.9 | 100 |
| 33.7 | 46 |
| 31.3 | 39 |
| 59.6 | 37 |
| 46.7 | 36 |
| 25.7 | 29 |
| 47.5 | 28 |
| 59.8 | 25 |
| 58.0 | 18 |

***

(3)
Computed X-ray diffraction stick pattern
Compound: NiS2O9
Radiation: CuKα
Structure: a DFT-relaxed cell (GGA+U, the Materials Project)
Neutral-atom scattering factors, no anomalous dispersion.

Crystal structure
a b c (Å): 10.2336 14.0388 6.5116
angles (deg): 90.00 90.00 90.00
Element x y z (fractional)
Ni  0.0000  0.0000  0.0000
Ni  0.0000  0.5000  0.0000
Ni  0.5000  0.0000  0.5000
Ni  0.5000  0.5000  0.5000
S  0.0020  0.2500  0.4200
S  0.1872  0.7500  0.0636
S  0.3128  0.2500  0.5636
S  0.4980  0.7500  0.9200
S  0.5020  0.2500  0.0800
S  0.6872  0.7500  0.4364
S  0.8128  0.2500  0.9364
S  0.9980  0.7500  0.5800
O  0.0305  0.6615  0.4816
O  0.0305  0.8385  0.4816
O  0.0721  0.2500  0.2298
O  0.1360  0.0326  0.1721
O  0.1360  0.4674  0.1721
O  0.1503  0.0726  0.9879
O  0.1503  0.4274  0.9879
O  0.1684  0.6614  0.9527
O  0.1684  0.8386  0.9527
O  0.3316  0.1614  0.4527
O  0.3316  0.3386  0.4527
O  0.3497  0.5726  0.4879
O  0.3497  0.9274  0.4879
O  0.3640  0.5326  0.6721
O  0.3640  0.9674  0.6721
O  0.4279  0.7500  0.7298
O  0.4695  0.1615  0.9816
O  0.4695  0.3385  0.9816
O  0.5305  0.6615  0.0184
O  0.5305  0.8385  0.0184
O  0.5721  0.2500  0.2702
O  0.6360  0.0326  0.3279
O  0.6360  0.4674  0.3279
O  0.6503  0.0726  0.5121
O  0.6503  0.4274  0.5121
O  0.6684  0.6614  0.5473
O  0.6684  0.8386  0.5473
O  0.8316  0.1614  0.0473
O  0.8316  0.3386  0.0473
O  0.8497  0.5726  0.0121
O  0.8497  0.9274  0.0121
O  0.8640  0.5326  0.8279
O  0.8640  0.9674  0.8279
O  0.9279  0.7500  0.7702
O  0.9695  0.1615  0.5184
O  0.9695  0.3385  0.5184

Main lines, by intensity (10° ≤ 2θ ≤ 90°):
| 2θ (°) | I (rel.) |
| --- | --- |
| 20.5 | 100 |
| 17.3 | 35 |
| 32.3 | 34 |
| 27.4 | 27 |
| 16.1 | 27 |
| 25.0 | 18 |
| 25.4 | 18 |
| 29.6 | 17 |
| 30.2 | 16 |
| 35.1 | 9 |

***

(4)
Computed X-ray diffraction stick pattern
Compound: NiSO10
Radiation: CuKα
Structure: a DFT-relaxed cell (GGA+U, the Materials Project)
Neutral-atom scattering factors, no anomalous dispersion.

Crystal structure
a b c (Å): 6.3628 6.3628 15.9661
angles (deg): 90.00 90.00 90.00
Element x y z (fractional)
Ni  0.2153  0.2153  0.0000
Ni  0.2847  0.7153  0.2500
Ni  0.7153  0.2847  0.7500
Ni  0.7847  0.7847  0.5000
S  0.2123  0.7877  0.7500
S  0.2877  0.2877  0.5000
S  0.7123  0.7123  0.0000
S  0.7877  0.2123  0.2500
O  0.0284  0.8011  0.4372
O  0.0561  0.7227  0.1823
O  0.0572  0.3249  0.5046
O  0.0719  0.3554  0.0848
O  0.1098  0.8823  0.6741
O  0.1177  0.8902  0.8259
O  0.1446  0.5719  0.3348
O  0.1751  0.5572  0.7546
O  0.1989  0.9716  0.0628
O  0.2227  0.4439  0.9323
O  0.2773  0.9439  0.3177
O  0.3011  0.4716  0.1872
O  0.3249  0.0572  0.4954
O  0.3554  0.0719  0.9152
O  0.3823  0.3902  0.4241
O  0.3902  0.3823  0.5759
O  0.4281  0.8554  0.1652
O  0.4428  0.8249  0.7454
O  0.4439  0.2227  0.0677
O  0.4716  0.3011  0.8128
O  0.5284  0.6989  0.3128
O  0.5561  0.7773  0.5677
O  0.5572  0.1751  0.2454
O  0.5719  0.1446  0.6652
O  0.6098  0.6177  0.0759
O  0.6177  0.6098  0.9241
O  0.6446  0.9281  0.4152
O  0.6751  0.9428  0.9954
O  0.6989  0.5284  0.6872
O  0.7227  0.0561  0.8177
O  0.7773  0.5561  0.4323
O  0.8011  0.0284  0.5628
O  0.8249  0.4428  0.2546
O  0.8554  0.4281  0.8348
O  0.8823  0.1098  0.3259
O  0.8902  0.1177  0.1741
O  0.9281  0.6446  0.5848
O  0.9428  0.6751  0.0046
O  0.9439  0.2773  0.6823
O  0.9716  0.1989  0.9372

Main lines, by intensity (10° ≤ 2θ ≤ 90°):
| 2θ (°) | I (rel.) |
| --- | --- |
| 22.7 | 100 |
| 22.3 | 17 |
| 36.1 | 15 |
| 15.0 | 13 |
| 28.0 | 11 |
| 42.6 | 9 |
| 57.4 | 8 |
| 39.3 | 8 |
| 32.8 | 7 |
| 45.4 | 6 |

***

(5)
Computed X-ray diffraction stick pattern
Compound: NiSO10
Radiation: CuKα
Structure: a DFT-relaxed cell (GGA+U, the Materials Project)
Neutral-atom scattering factors, no anomalous dispersion.

Crystal structure
a b c (Å): 5.7535 5.7535 23.1467
angles (deg): 99.02 99.02 70.53
Element x y z (fractional)
Ni  0.0000  0.0000  0.0000
Ni  0.0000  0.0000  0.5000
Ni  0.0434  0.9566  0.7500
Ni  0.9566  0.0434  0.2500
S  0.3205  0.4228  0.1230
S  0.4228  0.3205  0.6230
S  0.5772  0.6795  0.3770
S  0.6795  0.5772  0.8770
O  0.0012  0.7525  0.2788
O  0.0492  0.5536  0.1171
O  0.0687  0.6607  0.7750
O  0.0777  0.2163  0.3128
O  0.1094  0.6896  0.4607
O  0.1272  0.8638  0.9299
O  0.1362  0.8728  0.5701
O  0.1488  0.1989  0.9750
O  0.1554  0.3664  0.6307
O  0.1989  0.1488  0.4750
O  0.2163  0.0777  0.8128
O  0.2475  0.9988  0.2212
O  0.3104  0.8906  0.0393
O  0.3393  0.9313  0.7250
O  0.3664  0.1554  0.1307
O  0.4240  0.4249  0.0678
O  0.4249  0.4240  0.5678
O  0.4429  0.5415  0.1746
O  0.4464  0.9508  0.3829
O  0.4585  0.5571  0.3254
O  0.5415  0.4429  0.6746
O  0.5536  0.0492  0.6171
O  0.5571  0.4585  0.8254
O  0.5751  0.5760  0.4322
O  0.5760  0.5751  0.9322
O  0.6336  0.8446  0.8693
O  0.6607  0.0687  0.2750
O  0.6896  0.1094  0.9607
O  0.7525  0.0012  0.7788
O  0.7837  0.9223  0.1872
O  0.8011  0.8512  0.5250
O  0.8446  0.6336  0.3693
O  0.8512  0.8011  0.0250
O  0.8638  0.1272  0.4299
O  0.8728  0.1362  0.0701
O  0.8906  0.3104  0.5393
O  0.9223  0.7837  0.6872
O  0.9313  0.3393  0.2250
O  0.9508  0.4464  0.8829
O  0.9988  0.2475  0.7212

Main lines, by intensity (10° ≤ 2θ ≤ 90°):
| 2θ (°) | I (rel.) |
| --- | --- |
| 21.4 | 100 |
| 24.0 | 63 |
| 16.4 | 39 |
| 19.3 | 33 |
| 27.2 | 27 |
| 33.3 | 26 |
| 26.8 | 22 |
| 17.4 | 17 |
| 22.4 | 15 |
| 22.2 | 14 |